1.
Theoretical powder diffraction line list of Cs2ZnBi2Se5 for Cu Kα X-rays, from a structure optimized by DFT (PBE).

Cell and atoms:
Cell lengths 16.637, 4.308, 19.038 Å; angles 90.00, 90.00, 90.00 degrees
Positions (direct):
Cs (0.006, 0.250, 0.123)
Cs (0.040, 0.750, 0.382)
Cs (0.460, 0.250, 0.882)
Cs (0.494, 0.750, 0.623)
Cs (0.506, 0.250, 0.377)
Cs (0.540, 0.750, 0.118)
Cs (0.960, 0.250, 0.618)
Cs (0.994, 0.750, 0.877)
Zn (0.205, 0.250, 0.856)
Zn (0.295, 0.750, 0.356)
Zn (0.705, 0.250, 0.644)
Zn (0.795, 0.750, 0.144)
Bi (0.207, 0.750, 0.698)
Bi (0.248, 0.750, 0.017)
Bi (0.252, 0.250, 0.517)
Bi (0.293, 0.250, 0.198)
Bi (0.707, 0.750, 0.802)
Bi (0.748, 0.750, 0.483)
Bi (0.752, 0.250, 0.983)
Bi (0.793, 0.250, 0.302)
Se (0.105, 0.250, 0.756)
Se (0.133, 0.750, 0.560)
Se (0.138, 0.250, 0.973)
Se (0.180, 0.750, 0.151)
Se (0.213, 0.250, 0.344)
Se (0.287, 0.750, 0.844)
Se (0.320, 0.250, 0.651)
Se (0.362, 0.750, 0.473)
Se (0.367, 0.250, 0.060)
Se (0.395, 0.750, 0.256)
Se (0.605, 0.250, 0.744)
Se (0.633, 0.750, 0.940)
Se (0.638, 0.250, 0.527)
Se (0.680, 0.750, 0.349)
Se (0.713, 0.250, 0.156)
Se (0.787, 0.750, 0.656)
Se (0.820, 0.250, 0.849)
Se (0.862, 0.750, 0.027)
Se (0.867, 0.250, 0.440)
Se (0.895, 0.750, 0.244)

Largest 10 diffraction maxima, in order of rising 2θ, 5 to 70 degrees two-theta:
Position (°2θ), I/Imax
10.64, 81
21.35, 22
21.51, 31
25.56, 20
26.62, 41
27.85, 100
30.17, 35
35.56, 30
36.96, 29
41.94, 35

2.
Theoretical powder diffraction line list of Nd3Pt2 for Cu Kα X-rays, from a structure optimized by DFT (PBE).

Cell and atoms:
Cell lengths 7.697, 7.697, 7.697 Å; angles 71.63, 71.63, 71.63 degrees
Positions (direct):
Nd (0.000, 0.000, 0.000)
Nd (0.164, 0.665, 0.395)
Nd (0.201, 0.201, 0.201)
Nd (0.335, 0.605, 0.836)
Nd (0.395, 0.164, 0.665)
Nd (0.605, 0.836, 0.335)
Nd (0.665, 0.395, 0.164)
Nd (0.799, 0.799, 0.799)
Nd (0.836, 0.335, 0.605)
Pt (0.043, 0.411, 0.835)
Pt (0.165, 0.957, 0.589)
Pt (0.411, 0.835, 0.043)
Pt (0.589, 0.165, 0.957)
Pt (0.835, 0.043, 0.411)
Pt (0.957, 0.589, 0.165)

Largest 10 diffraction maxima, in order of rising 2θ, 5 to 70 degrees two-theta:
Position (°2θ), I/Imax
12.48, 26
19.71, 19
30.78, 43
31.53, 43
32.13, 100
34.49, 72
37.09, 70
37.46, 75
42.10, 21
43.18, 22